# 1
In2Pd5Au3: theoretical X-ray powder pattern (a wavelength of 1.5418 Å), based on a structure optimized by DFT (GGA-PBE).
Intensities are scaled so that the largest is 100.

Crystal structure
```
data_In2Pd5Au3
_chemical_formula_sum 'In8 Pd20 Au12'
_symmetry_space_group_name_H-M 'I b a m'
_symmetry_Int_Tables_number 72
_symmetry_space_group_name_Hall '-I 2 2c'
_cell_length_a 11.001
_cell_length_b 13.225
_cell_length_c 5.432
_cell_angle_alpha 90.00
_cell_angle_beta 90.00
_cell_angle_gamma 90.00
loop_
_atom_site_label
_atom_site_type_symbol
_atom_site_fract_x
_atom_site_fract_y
_atom_site_fract_z
In1 In 0.136 0.155 0.000
Pd1 Pd 0.000 0.500 0.250
Pd2 Pd 0.139 0.348 0.000
Pd3 Pd 0.249 0.000 0.250
Au1 Au 0.000 0.000 0.250
Au2 Au 0.110 0.322 0.500
```

Most intense lines, 10 to 80 degrees two-theta, in order of rising 2θ:
Position (°2θ), I_rel, (hkl)
21.72, 55.5, 1 3 0
35.35, 97.3, 4 2 0
35.74, 100.0, 0 2 2
40.95, 65.5, 0 6 0
42.77, 61.6, 4 4 0
43.10, 63.3, 0 4 2
47.02, 93.3, 4 0 2
64.09, 66.8, 4 6 2

=====

# 2
In2Pd3Au: theoretical X-ray powder pattern (a wavelength of 1.5418 Å), based on a structure optimized by DFT (GGA-PBE).
Intensities are scaled so that the largest is 100.

Crystal structure
```
data_In2Pd3Au
_chemical_formula_sum 'In16 Pd24 Au8'
_symmetry_space_group_name_H-M 'I 41/a m d'
_symmetry_Int_Tables_number 141
_cell_length_a 8.703
_cell_length_b 8.703
_cell_length_c 11.968
_cell_angle_alpha 90.00
_cell_angle_beta 90.00
_cell_angle_gamma 90.00
loop_
_symmetry_equiv_pos_as_xyz
'x,y,z'
'-x,-y,-z'
'-y+1/4,x+3/4,z+1/4'
'y+1/4,-x+3/4,-z+1/4'
'-x+1/2,-y,z+1/2'
'x+1/2,y,-z+1/2'
'y+1/4,-x+1/4,z+3/4'
'-y+1/4,x+1/4,-z+3/4'
'x,-y,-z'
'-x,y,z'
'-y+1/4,-x+1/4,-z+3/4'
'y+1/4,x+1/4,z+3/4'
'-x+1/2,y,-z+1/2'
'x+1/2,-y,z+1/2'
'y+1/4,x+3/4,-z+1/4'
'-y+1/4,-x+3/4,z+1/4'
'x+1/2,y+1/2,z+1/2'
'-x+1/2,-y+1/2,-z+1/2'
'-y+3/4,x+1/4,z+3/4'
'y+3/4,-x+1/4,-z+3/4'
'-x,-y+1/2,z'
'x,y+1/2,-z'
'y+3/4,-x+3/4,z+1/4'
'-y+3/4,x+3/4,-z+1/4'
'x+1/2,-y+1/2,-z+1/2'
'-x+1/2,y+1/2,z+1/2'
'-y+3/4,-x+3/4,-z+1/4'
'y+3/4,x+3/4,z+1/4'
'-x,y+1/2,-z'
'x,-y+1/2,z'
'y+3/4,x+1/4,-z+3/4'
'-y+3/4,-x+1/4,z+3/4'
loop_
_atom_site_label
_atom_site_type_symbol
_atom_site_fract_x
_atom_site_fract_y
_atom_site_fract_z
In1 In 0.000 0.062 0.274
Pd1 Pd 0.000 0.000 0.500
Pd2 Pd 0.214 0.036 0.875
Au1 Au 0.000 0.250 0.755
```

Most intense lines, 10 to 80 degrees two-theta, in order of rising 2θ:
Position (°2θ), I_rel, (hkl)
24.04, 21.7, 2 1 1
36.44, 75.7, 2 0 4
38.03, 100.0, 3 2 1
38.37, 29.1, 3 0 3
41.51, 46.5, 4 0 0
44.43, 24.6, 2 1 5
56.40, 15.4, 4 2 4
77.40, 16.9, 4 0 8

=====

# 3
In2PdAu7: theoretical X-ray powder pattern (a wavelength of 1.5418 Å), based on a structure optimized by DFT (GGA-PBE).
Intensities are scaled so that the largest is 100.

Crystal structure
```
data_In2PdAu7
_chemical_formula_sum 'In4 Pd2 Au14'
_symmetry_space_group_name_H-M 'C m m m'
_symmetry_Int_Tables_number 65
_symmetry_space_group_name_Hall '-C 2 2'
_cell_length_a 8.569
_cell_length_b 16.439
_cell_length_c 3.033
_cell_angle_alpha 90.00
_cell_angle_beta 90.00
_cell_angle_gamma 90.00
loop_
_atom_site_label
_atom_site_type_symbol
_atom_site_fract_x
_atom_site_fract_y
_atom_site_fract_z
In1 In 0.000 0.180 0.000
Pd1 Pd 0.000 0.500 0.500
Au1 Au 0.000 0.000 0.000
Au2 Au 0.000 0.322 0.500
Au3 Au 0.226 0.411 0.000
```

Most intense lines, 10 to 80 degrees two-theta, in order of rising 2θ:
Position (°2θ), I_rel, (hkl)
30.13, 31.7, 2 4 0
31.77, 37.1, 1 1 1
36.29, 32.4, 2 0 1
39.02, 100.0, 2 6 0
41.87, 57.6, 1 5 1
42.19, 39.1, 4 0 0
43.89, 42.7, 3 1 1
74.94, 40.5, 2 6 2

=====

# 4
In2Pd3Au8: theoretical X-ray powder pattern (a wavelength of 1.5418 Å), based on a structure optimized by DFT (GGA-PBE).
Intensities are scaled so that the largest is 100.

Crystal structure
```
data_In2Pd3Au8
_chemical_formula_sum 'In6 Pd9 Au24'
_symmetry_space_group_name_H-M 'R -3 m'
_symmetry_Int_Tables_number 166
_symmetry_space_group_name_Hall '-R 3 2"'
_cell_length_a 5.4316
_cell_length_b 5.4316
_cell_length_c 30.2630
_cell_angle_alpha 90.00
_cell_angle_beta 90.00
_cell_angle_gamma 120.00
loop_
_atom_site_label
_atom_site_type_symbol
_atom_site_fract_x
_atom_site_fract_y
_atom_site_fract_z
In1 In 0.0000 0.0000 0.1353
Pd1 Pd 0.0000 0.0000 0.3126
Pd2 Pd 0.0000 0.0000 0.5000
Au1 Au 0.0000 0.0000 0.2225
Au2 Au 0.0003 0.5002 0.2764
```

Most intense lines, 10 to 80 degrees two-theta, in order of rising 2θ:
Position (°2θ), I_rel, (hkl)
28.03, 27.1, 1 0 7
37.89, 72.5, 0 1 11
38.75, 100.0, 2 0 2
40.15, 46.4, 0 2 4
41.18, 33.3, 2 0 5
42.80, 40.8, 1 1 9
62.17, 34.0, 1 2 11
69.18, 34.0, 2 2 0

=====

# 5
In6PdAu8: theoretical X-ray powder pattern (a wavelength of 1.5418 Å), based on a structure optimized by DFT (GGA-PBE).
Intensities are scaled so that the largest is 100.

Crystal structure
```
data_In6PdAu8
_chemical_formula_sum 'In18 Pd3 Au24'
_symmetry_space_group_name_H-M 'R -3'
_symmetry_Int_Tables_number 148
_symmetry_space_group_name_Hall '-R 3'
_cell_length_a 7.3343
_cell_length_b 7.3343
_cell_length_c 21.1482
_cell_angle_alpha 90.00
_cell_angle_beta 90.00
_cell_angle_gamma 120.00
loop_
_atom_site_label
_atom_site_type_symbol
_atom_site_fract_x
_atom_site_fract_y
_atom_site_fract_z
In1 In 0.0161 0.5878 0.2675
Pd1 Pd 0.0000 0.0000 0.0000
Au1 Au 0.0000 0.0000 0.3099
Au2 Au 0.0328 0.2516 0.1982
```

Most intense lines, 10 to 80 degrees two-theta, in order of rising 2θ:
Position (°2θ), I_rel, (hkl)
16.28, 24.6, 0 1 2
27.42, 55.4, 2 -1 3
35.33, 100.0, 2 -1 6
36.83, 20.1, 0 1 8
37.71, 77.3, 2 1 1
41.27, 50.8, 0 2 7
43.34, 21.6, 1 2 5
45.87, 31.7, 1 1 9

=====

# 6
InPd4Au: theoretical X-ray powder pattern (a wavelength of 1.5418 Å), based on a structure optimized by DFT (GGA-PBE).
Intensities are scaled so that the largest is 100.

Crystal structure
```
data_InPd4Au
_chemical_formula_sum 'In2 Pd8 Au2'
_symmetry_space_group_name_H-M 'C 1 2/m 1'
_symmetry_Int_Tables_number 12
_cell_length_a 4.933
_cell_length_b 8.551
_cell_length_c 4.922
_cell_angle_alpha 90.00
_cell_angle_beta 107.35
_cell_angle_gamma 90.00
loop_
_symmetry_equiv_pos_as_xyz
'x,y,z'
'-x,-y,-z'
'-x,y,-z'
'x,-y,z'
'x+1/2,y+1/2,z'
'-x+1/2,-y+1/2,-z'
'-x+1/2,y+1/2,-z'
'x+1/2,-y+1/2,z'
loop_
_atom_site_label
_atom_site_type_symbol
_atom_site_fract_x
_atom_site_fract_y
_atom_site_fract_z
In1 In 0.000 0.000 0.000
Pd1 Pd 0.000 0.167 0.500
Pd2 Pd 0.000 0.333 0.000
Au1 Au 0.000 0.500 0.500
```

Most intense lines, 10 to 80 degrees two-theta, in order of rising 2θ:
Position (°2θ), I_rel, (hkl)
38.27, 100.0, 2 0 0
38.90, 96.7, 1 3 -1
44.42, 65.3, 1 3 1
45.70, 30.1, 2 0 -2
65.55, 30.2, 0 6 0
65.69, 20.0, 1 3 -3
77.21, 12.6, 3 3 1
78.47, 24.1, 2 6 0

=====

Please write out number 5 again, unchanged.
In6PdAu8: theoretical X-ray powder pattern (a wavelength of 1.5418 Å), based on a structure optimized by DFT (GGA-PBE).
Intensities are scaled so that the largest is 100.

Crystal structure
```
data_In6PdAu8
_chemical_formula_sum 'In18 Pd3 Au24'
_symmetry_space_group_name_H-M 'R -3'
_symmetry_Int_Tables_number 148
_symmetry_space_group_name_Hall '-R 3'
_cell_length_a 7.3343
_cell_length_b 7.3343
_cell_length_c 21.1482
_cell_angle_alpha 90.00
_cell_angle_beta 90.00
_cell_angle_gamma 120.00
loop_
_atom_site_label
_atom_site_type_symbol
_atom_site_fract_x
_atom_site_fract_y
_atom_site_fract_z
In1 In 0.0161 0.5878 0.2675
Pd1 Pd 0.0000 0.0000 0.0000
Au1 Au 0.0000 0.0000 0.3099
Au2 Au 0.0328 0.2516 0.1982
```

Most intense lines, 10 to 80 degrees two-theta, in order of rising 2θ:
Position (°2θ), I_rel, (hkl)
16.28, 24.6, 0 1 2
27.42, 55.4, 2 -1 3
35.33, 100.0, 2 -1 6
36.83, 20.1, 0 1 8
37.71, 77.3, 2 1 1
41.27, 50.8, 0 2 7
43.34, 21.6, 1 2 5
45.87, 31.7, 1 1 9

=====

Question: Number 2 is which compound?
Answer: In2Pd3Au